Entry 1:
The following is a simulated X-ray powder pattern of Pr2Dy2CI3Cl2. It was derived from a cell relaxed with PBE, using Cu Kα.

Structure:
Cell lengths 17.9839, 3.9618, 8.5883 Å; angles 90.00, 102.93, 90.00 degrees
Space group C2/m (No. 12)
Asymmetric unit:
Pr: 0.1440 0.0000 0.0654
Dy: 0.0019 0.5000 0.8105
C: 0.0000 0.0000 0.0000
I: 0.0000 0.0000 0.5000
I: 0.1689 0.5000 0.3555
Cl: 0.1615 0.5000 0.8310

The 6 most intense peaks (2θ = 5–70°), low angle first:
2θ (°), I/Imax
10.09, 35
27.95, 36
30.50, 47
30.60, 50
30.71, 100
44.14, 32

***

Entry 2:
The following is a simulated X-ray powder pattern of Dy2Y2TmLu2Ni2Te2. It was derived from a cell relaxed with PBE, using Cu Kα.

Structure:
Cell lengths 3.8125, 15.4661, 9.5302 Å; angles 90.00, 90.00, 90.00 degrees
Space group Imm2 (No. 44)
Asymmetric unit:
Dy: 0.0000 0.1856 0.0000
Y: 0.0000 0.3688 0.7998
Tm: 0.0000 0.5000 0.3794
Lu: 0.0000 0.1466 0.6534
Ni: 0.0000 0.2647 0.3067
Te: 0.0000 0.0000 0.1435
Te: 0.0000 0.5000 0.0477

The 6 most intense peaks (2θ = 5–70°), low angle first:
2θ (°), I/Imax
29.13, 46
30.58, 54
33.12, 87
34.35, 100
34.80, 67
59.30, 40

***

Entry 3:
The following is a simulated X-ray powder pattern of SrFe5As3. It was derived from a cell relaxed with PBE, using Cu Kα.

Structure:
Cell lengths 3.8013, 12.3540, 11.8666 Å; angles 90.00, 90.00, 90.00 degrees
Space group Cmcm (No. 63)
Asymmetric unit:
Sr: 0.0000 0.1653 0.2500
Fe: 0.0000 0.0000 0.0000
Fe: 0.0000 0.1870 0.5582
Fe: 0.0000 0.4461 0.1435
As: 0.0000 0.1183 0.7500
As: 0.0000 0.3781 0.5513

The 6 most intense peaks (2θ = 5–70°), low angle first:
2θ (°), I/Imax
28.88, 54
33.49, 100
35.52, 95
39.20, 90
46.43, 65
47.86, 85

***

Entry 4:
The following is a simulated X-ray powder pattern of ScAgTe3Pb. It was derived from a cell relaxed with PBE, using Cu Kα.

Structure:
Cell lengths 4.2314, 14.6357, 10.9508 Å; angles 90.00, 90.00, 90.00 degrees
Space group Cmcm (No. 63)
Asymmetric unit:
Sc: 0.0000 0.0000 0.0000
Ag: 0.0000 0.4655 0.2500
Te: 0.0000 0.0901 0.2500
Te: 0.0000 0.3586 0.0416
Pb: 0.0000 0.2291 0.7500

The 6 most intense peaks (2θ = 5–70°), low angle first:
2θ (°), I/Imax
29.10, 100
29.36, 30
32.43, 80
32.71, 41
37.39, 28
50.52, 34

***

- Number 3 is which compound?
  SrFe5As3

***

- Which formula does entry 4 have?
  ScAgTe3Pb